Record 1
# LiCuP3O9
Calculated powder X-ray diffraction pattern, Cu Kα X-rays. Input: DFT lattice parameters and positions (PBE).
Peak positions follow from Bragg's law for the DFT cell and can differ from measured ones.

Most intense lines, 2θ = 15–90°, sorted by position:
d = 4.567 Å, 19.4°, intensity 264
d = 3.997 Å, 22.2°, intensity 1000
d = 3.780 Å, 23.5°, intensity 655
d = 3.716 Å, 23.9°, intensity 184
d = 3.617 Å, 24.6°, intensity 175
d = 3.493 Å, 25.5°, intensity 170
d = 3.442 Å, 25.9°, intensity 255
d = 2.866 Å, 31.2°, intensity 352
d = 2.681 Å, 33.4°, intensity 380
d = 2.637 Å, 34.0°, intensity 287

Atomic structure:
a = 8.262 Å, b = 8.502 Å, c = 9.134 Å
α = 90.00°, β = 90.00°, γ = 90.00°
Space group P2_12_12_1 (No. 19)
Asymmetric unit:
Li 0.157 0.131 0.382 (multiplicity 4)
Cu 0.133 0.853 0.160 (multiplicity 4)
P 0.032 0.321 0.688 (multiplicity 4)
P 0.178 0.479 0.189 (multiplicity 4)
P 0.203 0.812 0.565 (multiplicity 4)
O 0.037 0.771 0.654 (multiplicity 4)
O 0.084 0.617 0.132 (multiplicity 4)
O 0.103 0.870 0.910 (multiplicity 4)
O 0.105 0.385 0.314 (multiplicity 4)
O 0.140 0.193 0.626 (multiplicity 4)
O 0.145 0.466 0.740 (multiplicity 4)
O 0.159 0.864 0.414 (multiplicity 4)
O 0.187 0.088 0.158 (multiplicity 4)
O 0.219 0.363 0.055 (multiplicity 4)

---

Record 2
# Rb2CdP2Se6
Calculated powder X-ray diffraction pattern, Cu Kα X-rays. Input: DFT lattice parameters and positions (PBE).
Peak positions follow from Bragg's law for the DFT cell and can differ from measured ones.

Most intense lines, 2θ = 15–90°, sorted by position:
d = 3.789 Å, 23.5°, intensity 261
d = 3.380 Å, 26.4°, intensity 287
d = 3.348 Å, 26.6°, intensity 318
d = 3.174 Å, 28.1°, intensity 923
d = 2.914 Å, 30.7°, intensity 1000
d = 2.881 Å, 31.0°, intensity 450
d = 2.866 Å, 31.2°, intensity 320
d = 2.535 Å, 35.4°, intensity 410
d = 2.247 Å, 40.1°, intensity 245
d = 1.895 Å, 48.0°, intensity 350

Atomic structure:
a = 6.763 Å, b = 12.945 Å, c = 9.725 Å
α = 90.00°, β = 125.42°, γ = 90.00°
Space group P2_1/c (No. 14)
Asymmetric unit:
Rb 0.222 0.179 0.479 (multiplicity 4)
Cd 0.500 0.000 0.000 (multiplicity 2)
P 0.148 0.541 0.623 (multiplicity 4)
Se 0.030 0.074 0.750 (multiplicity 4)
Se 0.257 0.678 0.548 (multiplicity 4)
Se 0.453 0.069 0.262 (multiplicity 4)

---

Record 3
# KYC8O8
Calculated powder X-ray diffraction pattern, Cu Kα X-rays. Input: DFT lattice parameters and positions (PBE).
Peak positions follow from Bragg's law for the DFT cell and can differ from measured ones.

Most intense lines, 2θ = 15–90°, sorted by position:
d = 5.865 Å, 15.1°, intensity 188
d = 4.288 Å, 20.7°, intensity 126
d = 3.542 Å, 25.1°, intensity 1000
d = 2.770 Å, 32.3°, intensity 118
d = 2.733 Å, 32.8°, intensity 236
d = 2.448 Å, 36.7°, intensity 245
d = 2.222 Å, 40.6°, intensity 132
d = 2.144 Å, 42.2°, intensity 296
d = 1.987 Å, 45.7°, intensity 159
d = 1.882 Å, 48.4°, intensity 186

Atomic structure:
a = 6.284 Å, b = 6.284 Å, c = 11.730 Å
α = 90.00°, β = 90.00°, γ = 90.00°
Space group P4/mcc (No. 124)
Asymmetric unit:
K 0.000 0.000 0.250 (multiplicity 2)
Y 0.500 0.500 0.250 (multiplicity 2)
C 0.098 0.436 0.063 (multiplicity 16)
O 0.215 0.355 0.139 (multiplicity 16)

---

Record 4
# Lu2SiO5
Calculated powder X-ray diffraction pattern, Cu Kα X-rays. Input: DFT lattice parameters and positions (PBE).
Peak positions follow from Bragg's law for the DFT cell and can differ from measured ones.

Most intense lines, 2θ = 15–90°, sorted by position:
d = 5.845 Å, 15.2°, intensity 479
d = 3.868 Å, 23.0°, intensity 972
d = 3.506 Å, 25.4°, intensity 559
d = 3.117 Å, 28.6°, intensity 590
d = 2.991 Å, 29.9°, intensity 882
d = 2.921 Å, 30.6°, intensity 692
d = 2.888 Å, 31.0°, intensity 1000
d = 2.533 Å, 35.4°, intensity 509
d = 1.805 Å, 50.6°, intensity 344
d = 1.714 Å, 53.5°, intensity 434

Atomic structure:
a = 14.283 Å, b = 6.673 Å, c = 10.288 Å
α = 90.00°, β = 121.99°, γ = 90.00°
Space group C2/c (No. 15)
Asymmetric unit:
Lu 0.038 0.243 0.471 (multiplicity 8)
Lu 0.141 0.118 0.839 (multiplicity 8)
Si 0.183 0.408 0.306 (multiplicity 8)
O 0.016 0.095 0.896 (multiplicity 8)
O 0.088 0.486 0.134 (multiplicity 8)
O 0.122 0.212 0.331 (multiplicity 8)
O 0.201 0.151 0.679 (multiplicity 8)
O 0.203 0.423 0.934 (multiplicity 8)

---

Record 5
# Tl3AsF6
Calculated powder X-ray diffraction pattern, Cu Kα X-rays. Input: DFT lattice parameters and positions (PBE).
Peak positions follow from Bragg's law for the DFT cell and can differ from measured ones.

Most intense lines, 2θ = 15–90°, sorted by position:
d = 4.318 Å, 20.6°, intensity 580
d = 4.294 Å, 20.7°, intensity 530
d = 4.228 Å, 21.0°, intensity 511
d = 3.418 Å, 26.1°, intensity 521
d = 3.378 Å, 26.4°, intensity 1000
d = 3.210 Å, 27.8°, intensity 392
d = 2.772 Å, 32.3°, intensity 360
d = 2.751 Å, 32.5°, intensity 709
d = 2.318 Å, 38.8°, intensity 562
d = 2.158 Å, 41.9°, intensity 398

Atomic structure:
a = 7.114 Å, b = 7.122 Å, c = 7.165 Å
α = 100.58°, β = 101.06°, γ = 102.31°
Space group P-1 (No. 2)
Asymmetric unit:
Tl 0.000 0.000 0.000 (multiplicity 1)
Tl 0.000 0.500 0.500 (multiplicity 1)
Tl 0.500 0.000 0.500 (multiplicity 1)
As 0.000 0.000 0.500 (multiplicity 1)
F 0.077 0.795 0.297 (multiplicity 2)
F 0.208 0.941 0.715 (multiplicity 2)
F 0.213 0.217 0.439 (multiplicity 2)

---

Record 6
# Ho2Co2I
Calculated powder X-ray diffraction pattern, Cu Kα X-rays. Input: DFT lattice parameters and positions (PBE).
Peak positions follow from Bragg's law for the DFT cell and can differ from measured ones.

Most intense lines, 2θ = 15–90°, sorted by position:
d = 3.410 Å, 26.1°, intensity 240
d = 3.343 Å, 26.7°, intensity 135
d = 2.920 Å, 30.6°, intensity 101
d = 2.657 Å, 33.7°, intensity 1000
d = 2.175 Å, 41.5°, intensity 212
d = 1.969 Å, 46.1°, intensity 430
d = 1.582 Å, 58.3°, intensity 205
d = 1.518 Å, 61.1°, intensity 121
d = 1.442 Å, 64.6°, intensity 136
d = 1.233 Å, 77.4°, intensity 178

Atomic structure:
a = 3.9378 Å, b = 3.9378 Å, c = 16.9472 Å
α = 90.00°, β = 90.00°, γ = 120.00°
Space group P6_3/mmc (No. 194)
Asymmetric unit:
Ho 0.0000 0.0000 0.1024 (multiplicity 4)
Co 0.3333 0.6667 0.0015 (multiplicity 4)
I 0.3333 0.6667 0.7500 (multiplicity 2)